No. 1
Diffraction record for Y3Ge13Ru4. The powder XRD pattern is computed, not measured: it uses DFT lattice parameters and positions (PBE) and CuKα.
Lines closer than 0.1° are merged.

Cell and atoms:
```
Y3Ge13Ru4
1.0
9.0078 0.0000 0.0000
0.0000 9.0078 0.0000
0.0000 0.0000 9.0078
Y Ge Ru
6 26 8
Cartesian
0.0000 2.2519 4.5039
0.0000 6.7558 4.5039
2.2519 4.5039 0.0000
4.5039 0.0000 2.2519
4.5039 0.0000 6.7558
6.7558 4.5039 0.0000
0.0000 0.0000 0.0000
0.0000 2.7621 1.3484
0.0000 2.7621 7.6594
0.0000 6.2457 1.3484
0.0000 6.2457 7.6594
1.3484 0.0000 2.7621
1.3484 0.0000 6.2457
1.7418 4.5039 3.1555
1.7418 4.5039 5.8523
2.7621 1.3484 0.0000
2.7621 7.6594 0.0000
3.1555 1.7418 4.5039
3.1555 7.2660 4.5039
4.5039 3.1555 1.7418
4.5039 3.1555 7.2660
4.5039 4.5039 4.5039
4.5039 5.8523 1.7418
4.5039 5.8523 7.2660
5.8523 1.7418 4.5039
5.8523 7.2660 4.5039
6.2457 1.3484 0.0000
6.2457 7.6594 0.0000
7.2660 4.5039 3.1555
7.2660 4.5039 5.8523
7.6594 0.0000 2.7621
7.6594 0.0000 6.2457
2.2519 2.2519 2.2519
2.2519 2.2519 6.7558
2.2519 6.7558 2.2519
2.2519 6.7558 6.7558
6.7558 2.2519 2.2519
6.7558 2.2519 6.7558
6.7558 6.7558 2.2519
6.7558 6.7558 6.7558
```

Top 6 peaks for 2θ from 10° to 90°, most intense first:
| Position (°2θ) | I_rel |
| --- | --- |
| 35.9 | 100.0 |
| 37.4 | 38.2 |
| 49.6 | 35.6 |
| 40.0 | 30.1 |
| 45.0 | 20.6 |
| 69.2 | 18.4 |

***

No. 2
Diffraction record for Er6FeSb2. The powder XRD pattern is computed, not measured: it uses DFT lattice parameters and positions (PBE) and CuKα.
Lines closer than 0.1° are merged.

Cell and atoms:
```
Er6FeSb2
1.0
8.1459 0.0000 0.0000
-4.0730 7.0546 0.0000
0.0000 0.0000 4.1081
Er Fe Sb
6 1 2
Cartesian
-0.9600 1.6627 0.0000
-2.4716 4.2809 2.0541
1.9200 0.0000 0.0000
1.6014 2.7737 2.0541
4.9431 0.0000 2.0541
3.1130 5.3918 0.0000
0.0000 0.0000 2.0541
0.0000 4.7031 0.0000
4.0730 2.3515 0.0000
```

Top 6 peaks for 2θ from 10° to 90°, most intense first:
| Position (°2θ) | I_rel |
| --- | --- |
| 30.9 | 100.0 |
| 33.6 | 60.5 |
| 33.5 | 52.8 |
| 56.6 | 27.7 |
| 40.3 | 27.1 |
| 38.3 | 25.6 |

***

No. 3
Diffraction record for GeSe2. The powder XRD pattern is computed, not measured: it uses DFT lattice parameters and positions (PBE) and CuKα.
Lines closer than 0.1° are merged.

Cell and atoms:
```
GeSe2
1.0
7.2002 0.0000 0.0000
0.0000 17.2509 0.0000
-0.1921 0.0000 12.8973
Ge Se
16 32
Cartesian
1.1010 2.6613 3.5613
1.0049 5.9641 10.0099
1.0594 11.9027 9.9969
1.1555 13.9736 3.5483
2.2699 2.5897 9.3450
2.3659 6.0357 2.8964
2.3935 17.2466 2.6564
2.2974 8.6298 9.1051
4.6146 0.0043 10.2409
4.7107 8.6211 3.7922
4.6422 11.2152 10.0009
4.7382 14.6612 3.5522
5.8526 3.2773 9.3490
5.9487 5.3482 2.9003
6.0032 11.2868 2.8874
5.9071 14.5896 9.3360
0.4744 2.9402 7.8100
0.5704 5.6852 1.3614
1.1621 11.7212 2.7277
1.0661 14.1552 9.1763
1.0972 10.4629 8.0945
1.1932 15.4135 1.6459
1.5382 0.6527 4.8053
1.4422 7.9728 11.2539
1.9163 1.9846 1.4022
1.8202 6.6408 7.8508
2.2490 0.4153 10.3613
2.3451 8.2101 3.9126
2.2868 4.2238 11.0848
2.3828 4.4016 4.6362
2.8151 11.4160 11.5500
2.9111 14.4603 5.1014
4.0970 2.7906 7.7959
4.1930 5.8349 1.3473
4.6253 12.8493 8.2611
4.7213 13.0270 1.8125
4.6630 9.0408 8.9847
4.7591 16.8356 2.5360
5.1879 10.6101 5.0465
5.0918 15.2662 11.4951
5.5660 9.2781 1.6433
5.4699 16.5982 8.0920
5.8149 1.8374 11.2514
5.9109 6.7880 4.8028
5.9420 3.0957 3.7210
5.8460 5.5297 10.1696
6.4377 11.5657 11.5359
6.5338 14.3107 5.0873
```

Top 6 peaks for 2θ from 10° to 90°, most intense first:
| Position (°2θ) | I_rel |
| --- | --- |
| 13.7 | 100.0 |
| 27.9 | 41.9 |
| 29.4 | 32.2 |
| 28.2 | 28.1 |
| 24.7 | 26.0 |
| 15.1 | 23.7 |

***

No. 4
Diffraction record for Eu5Sn3H. The powder XRD pattern is computed, not measured: it uses DFT lattice parameters and positions (PBE) and CuKα.
Lines closer than 0.1° are merged.

Cell and atoms:
```
Eu5Sn3H
1.0
-4.1971 4.1971 7.6166
4.1971 -4.1971 7.6166
4.1971 4.1971 -7.6166
Eu Sn H
10 6 2
Cartesian
0.0000 0.0000 0.0000
5.5807 1.3836 -2.3040
1.3836 2.8136 -2.3040
5.5807 1.3836 2.3040
1.3836 2.8136 2.3040
0.0000 0.0000 7.6166
2.8136 1.3836 5.3126
-1.3836 2.8136 5.3126
2.8136 1.3836 9.9206
-1.3836 2.8136 9.9206
3.1553 1.0419 0.0000
0.0000 0.0000 3.8083
3.1553 -1.0419 7.6166
1.0419 5.2390 0.0000
0.0000 0.0000 11.4249
1.0419 3.1553 7.6166
4.1971 0.0000 3.8083
0.0000 4.1971 3.8083
```

Top 6 peaks for 2θ from 10° to 90°, most intense first:
| Position (°2θ) | I_rel |
| --- | --- |
| 29.6 | 100.0 |
| 33.8 | 46.9 |
| 31.7 | 29.0 |
| 49.7 | 13.5 |
| 35.4 | 12.8 |
| 62.3 | 12.8 |

***

No. 5
Diffraction record for Tm2Ga9Ir3. The powder XRD pattern is computed, not measured: it uses DFT lattice parameters and positions (PBE) and CuKα.
Lines closer than 0.1° are merged.

Cell and atoms:
```
Tm2Ga9Ir3
1.0
6.5656 -3.7839 0.0000
6.5656 3.7839 0.0000
0.0000 0.0000 9.4542
Tm Ga Ir
4 18 6
Cartesian
4.4029 2.5149 7.0906
8.7282 2.5149 7.0906
4.4029 -2.5149 2.3635
8.7282 -2.5149 2.3635
2.2004 1.2560 5.4953
2.2004 1.2560 8.6860
6.5656 2.8224 2.3635
6.5656 1.2673 5.3486
6.5656 1.2673 8.8326
2.2004 -1.2560 0.7682
2.2004 -1.2560 3.9589
5.2047 0.4353 2.3635
5.2047 -0.4353 7.0906
7.9264 0.4353 2.3635
7.9264 -0.4353 7.0906
10.9308 1.2560 5.4953
10.9308 1.2560 8.6860
6.5656 -1.2673 0.6216
6.5656 -1.2673 4.1055
6.5656 -2.8224 7.0906
10.9308 -1.2560 0.7682
10.9308 -1.2560 3.9589
0.0000 0.0000 0.0000
0.0000 0.0000 4.7271
4.3094 0.0000 0.0000
4.3094 0.0000 4.7271
8.8217 0.0000 0.0000
8.8217 0.0000 4.7271
```

Top 6 peaks for 2θ from 10° to 90°, most intense first:
| Position (°2θ) | I_rel |
| --- | --- |
| 41.3 | 100.0 |
| 37.1 | 75.9 |
| 30.2 | 67.4 |
| 45.2 | 29.8 |
| 52.0 | 27.6 |
| 57.4 | 23.8 |

***

No. 6
Diffraction record for Tm3Si. The powder XRD pattern is computed, not measured: it uses DFT lattice parameters and positions (PBE) and CuKα.
Lines closer than 0.1° are merged.

Cell and atoms:
```
Tm3Si
1.0
6.5182 0.0000 0.0000
-3.2591 5.6449 0.0000
0.0000 0.0000 5.1618
Tm Si
6 2
Cartesian
0.0000 1.9694 1.2904
-1.5535 4.6602 1.2904
1.7056 0.9847 3.8713
1.5535 4.6602 1.2904
4.8126 0.9847 3.8713
3.2591 3.6755 3.8713
0.0000 3.7633 3.8713
3.2591 1.8816 1.2904
```

Top 6 peaks for 2θ from 10° to 90°, most intense first:
| Position (°2θ) | I_rel |
| --- | --- |
| 36.3 | 100.0 |
| 23.4 | 27.3 |
| 34.8 | 25.4 |
| 31.7 | 23.9 |
| 68.0 | 20.7 |
| 63.3 | 19.9 |

***

No. 7
Diffraction record for Ce2SnHg. The powder XRD pattern is computed, not measured: it uses DFT lattice parameters and positions (PBE) and CuKα.
Lines closer than 0.1° are merged.

Cell and atoms:
```
Ce2SnHg
1.0
0.0000 3.8561 3.8561
3.8561 0.0000 3.8561
3.8561 3.8561 0.0000
Ce Sn Hg
2 1 1
Cartesian
1.9280 1.9280 1.9280
5.7841 5.7841 5.7841
0.0000 0.0000 0.0000
3.8561 3.8561 3.8561
```

Top 6 peaks for 2θ from 10° to 90°, most intense first:
| Position (°2θ) | I_rel |
| --- | --- |
| 32.8 | 100.0 |
| 58.6 | 38.7 |
| 47.1 | 18.4 |
| 78.4 | 16.9 |
| 68.9 | 12.0 |
| 87.7 | 4.4 |